Structure and computed powder diffraction line list of Na6Ni2C4SO16 (a cell relaxed with GGA+U; λ = 1.5418 Å (Cu Kα)).

Most intense lines, 2θ from 10° to 90°, sorted by position:
- 11.0°, I 33
- 21.2°, I 100
- 33.5°, I 93
- 36.6°, I 75
- 38.3°, I 23
- 46.7°, I 22
- 57.4°, I 32
- 57.8°, I 21

```
Na6Ni2C4SO16
1.0
0.000 6.949 6.949
6.949 0.000 6.949
6.949 6.949 0.000
Na Ni C S O
12 4 8 2 32
direct
0.092 0.092 0.658
0.092 0.658 0.092
0.092 0.658 0.658
0.342 0.342 0.908
0.342 0.908 0.342
0.342 0.908 0.908
0.658 0.092 0.092
0.658 0.092 0.658
0.658 0.658 0.092
0.908 0.342 0.342
0.908 0.342 0.908
0.908 0.908 0.342
0.000 0.500 0.500
0.500 0.000 0.500
0.500 0.500 0.000
0.500 0.500 0.500
0.282 0.282 0.282
0.282 0.282 0.654
0.282 0.654 0.282
0.346 0.718 0.718
0.654 0.282 0.282
0.718 0.346 0.718
0.718 0.718 0.346
0.718 0.718 0.718
0.125 0.125 0.125
0.875 0.875 0.875
0.063 0.063 0.063
0.063 0.063 0.312
0.063 0.312 0.063
0.139 0.304 0.400
0.139 0.400 0.656
0.139 0.656 0.304
0.304 0.139 0.656
0.304 0.400 0.139
0.304 0.656 0.400
0.312 0.063 0.063
0.344 0.600 0.696
0.344 0.696 0.861
0.344 0.861 0.600
0.400 0.139 0.304
0.400 0.304 0.656
0.400 0.656 0.139
0.600 0.344 0.861
0.600 0.696 0.344
0.600 0.861 0.696
0.656 0.139 0.400
0.656 0.304 0.139
0.656 0.400 0.304
0.688 0.937 0.937
0.696 0.344 0.600
0.696 0.600 0.861
0.696 0.861 0.344
0.861 0.344 0.696
0.861 0.600 0.344
0.861 0.696 0.600
0.937 0.688 0.937
0.937 0.937 0.688
0.937 0.937 0.937
```